Starting from a cell relaxed with GGA-PBE, the PXRD pattern of Na2Li5Sn2 was simulated for CuKα.
Neutral-atom scattering factors, no anomalous dispersion.

Cell and atoms:
```
data_Na2Li5Sn2
_space_group_name_H-M_alt 'P 1'
_space_group_IT_number 1
_space_group_name_Hall 'P 1'
_cell_length_a 9.819
_cell_length_b 9.819
_cell_length_c 9.819
_cell_angle_alpha 66.03
_cell_angle_beta 127.47
_cell_angle_gamma 142.93
loop_
_atom_site_label
_atom_site_fract_x
_atom_site_fract_y
_atom_site_fract_z
Na1 0.000 0.000 0.000
Na2 0.000 0.500 0.500
Na3 0.033 0.249 0.284
Na4 0.965 0.749 0.716
Li1 0.000 0.134 0.634
Li2 0.000 0.399 0.899
Li3 0.000 0.601 0.102
Li4 0.000 0.866 0.366
Li5 0.462 0.249 0.713
Li6 0.500 0.101 0.101
Li7 0.500 0.366 0.366
Li8 0.500 0.634 0.634
Li9 0.500 0.899 0.898
Li10 0.536 0.749 0.287
Sn1 0.488 0.590 0.077
Sn2 0.488 0.911 0.398
Sn3 0.513 0.090 0.602
Sn4 0.513 0.411 0.923
```

Most intense lines, 15° ≤ 2θ ≤ 90°, sorted by position:
- 17.5 deg, intensity 100
- 20.4 deg, intensity 66
- 20.6 deg, intensity 34
- 27.9 deg, intensity 65
- 35.4 deg, intensity 44
- 37.3 deg, intensity 46

=====

Starting from a cell relaxed with GGA-PBE, the PXRD pattern of Y8Bi2Ir3 was simulated for CuKα.
Neutral-atom scattering factors, no anomalous dispersion.

Cell and atoms:
```
data_Y8Bi2Ir3
_space_group_name_H-M_alt 'P 1'
_space_group_IT_number 1
_space_group_name_Hall 'P 1'
_cell_length_a 9.102
_cell_length_b 4.881
_cell_length_c 9.103
_cell_angle_alpha 90.00
_cell_angle_beta 114.69
_cell_angle_gamma 90.00
loop_
_atom_site_label
_atom_site_fract_x
_atom_site_fract_y
_atom_site_fract_z
Y1 0.106 0.000 0.394
Y2 0.146 0.500 0.863
Y3 0.363 0.500 0.646
Y4 0.389 0.000 0.111
Y5 0.611 0.000 0.889
Y6 0.637 0.500 0.354
Y7 0.854 0.500 0.137
Y8 0.894 0.000 0.606
Bi1 0.244 0.500 0.257
Bi2 0.756 0.500 0.743
Ir1 0.250 0.000 0.750
Ir2 0.500 0.500 0.000
Ir3 0.750 0.000 0.250
```

Most intense lines, 15° ≤ 2θ ≤ 90°, sorted by position:
- 21.5 deg, intensity 45
- 34.9 deg, intensity 100
- 36.6 deg, intensity 24
- 36.8 deg, intensity 23
- 52.9 deg, intensity 17
- 65.1 deg, intensity 17

=====

Starting from a cell relaxed with GGA-PBE, the PXRD pattern of ErGa4Hg was simulated for CuKα.
Neutral-atom scattering factors, no anomalous dispersion.

Cell and atoms:
```
data_ErGa4Hg
_space_group_name_H-M_alt 'P 1'
_space_group_IT_number 1
_space_group_name_Hall 'P 1'
_cell_length_a 5.572
_cell_length_b 5.572
_cell_length_c 5.572
_cell_angle_alpha 60.00
_cell_angle_beta 60.00
_cell_angle_gamma 60.00
loop_
_atom_site_label
_atom_site_fract_x
_atom_site_fract_y
_atom_site_fract_z
Er1 0.000 0.000 0.000
Ga1 0.375 0.375 0.375
Ga2 0.375 0.375 0.876
Ga3 0.375 0.876 0.375
Ga4 0.876 0.375 0.375
Hg1 0.750 0.750 0.750
```

Most intense lines, 15° ≤ 2θ ≤ 90°, sorted by position:
- 32.1 deg, intensity 63
- 37.9 deg, intensity 100
- 39.6 deg, intensity 16
- 57.3 deg, intensity 25
- 61.1 deg, intensity 33
- 67.2 deg, intensity 24

=====

Starting from a cell relaxed with GGA-PBE, the PXRD pattern of La2ErMgSe5 was simulated for CuKα.
Neutral-atom scattering factors, no anomalous dispersion.

Cell and atoms:
```
data_La2ErMgSe5
_space_group_name_H-M_alt 'P 1'
_space_group_IT_number 1
_space_group_name_Hall 'P 1'
_cell_length_a 9.026
_cell_length_b 9.026
_cell_length_c 12.776
_cell_angle_alpha 90.00
_cell_angle_beta 90.00
_cell_angle_gamma 153.43
loop_
_atom_site_label
_atom_site_fract_x
_atom_site_fract_y
_atom_site_fract_z
La1 0.111 0.889 0.500
La2 0.135 0.865 0.120
La3 0.865 0.135 0.620
La4 0.889 0.111 0.000
Er1 0.206 0.794 0.827
Er2 0.794 0.206 0.327
Mg1 0.463 0.537 0.271
Mg2 0.537 0.463 0.771
Se1 0.050 0.950 0.881
Se2 0.284 0.716 0.480
Se3 0.315 0.685 0.174
Se4 0.365 0.635 0.814
Se5 0.493 0.507 0.585
Se6 0.507 0.493 0.085
Se7 0.635 0.365 0.314
Se8 0.685 0.315 0.674
Se9 0.716 0.284 0.980
Se10 0.950 0.050 0.381
```

Most intense lines, 15° ≤ 2θ ≤ 90°, sorted by position:
- 30.5 deg, intensity 100
- 31.3 deg, intensity 39
- 36.3 deg, intensity 43
- 43.6 deg, intensity 29
- 44.5 deg, intensity 22
- 54.7 deg, intensity 16

=====

Starting from a cell relaxed with GGA-PBE, the PXRD pattern of Sr2Ga2Si3 was simulated for CuKα.
Neutral-atom scattering factors, no anomalous dispersion.

Cell and atoms:
```
data_Sr2Ga2Si3
_space_group_name_H-M_alt 'P 1'
_space_group_IT_number 1
_space_group_name_Hall 'P 1'
_cell_length_a 9.724
_cell_length_b 9.724
_cell_length_c 7.002
_cell_angle_alpha 90.00
_cell_angle_beta 90.00
_cell_angle_gamma 151.33
loop_
_atom_site_label
_atom_site_fract_x
_atom_site_fract_y
_atom_site_fract_z
Sr1 0.051 0.949 0.750
Sr2 0.156 0.844 0.250
Sr3 0.844 0.156 0.750
Sr4 0.949 0.051 0.250
Ga1 0.313 0.687 0.053
Ga2 0.313 0.687 0.447
Ga3 0.687 0.313 0.553
Ga4 0.687 0.313 0.947
Si1 0.219 0.781 0.750
Si2 0.443 0.557 0.578
Si3 0.443 0.557 0.922
Si4 0.557 0.443 0.078
Si5 0.557 0.443 0.422
Si6 0.781 0.219 0.250
```

Most intense lines, 15° ≤ 2θ ≤ 90°, sorted by position:
- 32.0 deg, intensity 86
- 32.8 deg, intensity 100
- 34.8 deg, intensity 31
- 37.4 deg, intensity 52
- 43.3 deg, intensity 43
- 54.5 deg, intensity 33

=====

Starting from a cell relaxed with GGA-PBE, the PXRD pattern of Na3Ag4Sn was simulated for CuKα.
Neutral-atom scattering factors, no anomalous dispersion.

Cell and atoms:
```
data_Na3Ag4Sn
_space_group_name_H-M_alt 'P 1'
_space_group_IT_number 1
_space_group_name_Hall 'P 1'
_cell_length_a 6.263
_cell_length_b 10.080
_cell_length_c 6.204
_cell_angle_alpha 90.00
_cell_angle_beta 90.00
_cell_angle_gamma 90.00
loop_
_atom_site_label
_atom_site_fract_x
_atom_site_fract_y
_atom_site_fract_z
Na1 0.000 0.000 0.000
Na2 0.000 0.294 0.777
Na3 0.000 0.706 0.777
Na4 0.500 0.206 0.277
Na5 0.500 0.500 0.500
Na6 0.500 0.794 0.277
Ag1 0.000 0.225 0.313
Ag2 0.000 0.775 0.313
Ag3 0.217 0.000 0.500
Ag4 0.283 0.500 0.000
Ag5 0.500 0.275 0.813
Ag6 0.500 0.725 0.813
Ag7 0.717 0.500 0.000
Ag8 0.783 0.000 0.500
Sn1 0.000 0.500 0.340
Sn2 0.500 0.000 0.840
```

Most intense lines, 15° ≤ 2θ ≤ 90°, sorted by position:
- 16.8 deg, intensity 42
- 20.1 deg, intensity 100
- 33.3 deg, intensity 49
- 33.9 deg, intensity 44
- 41.0 deg, intensity 46
- 42.0 deg, intensity 53